No. 1
Diffraction record for Nd5Dy8Mg. The XRD peak list is calculated, not measured: it uses a DFT-relaxed cell (GGA-PBE, Alexandria) and Cu Kα (λ = 1.5418 Å).
Peak positions follow from Bragg's law for the DFT cell and can differ from measured ones.

Cell and atoms:
a b c (Å): 8.470 8.470 8.470
angles (deg): 110.42 110.42 107.60
Sites, in units of the cell vectors:
1 Nd 0.000 0.000 0.000
2 Nd 0.208 0.316 0.684
3 Nd 0.477 0.792 0.109
4 Nd 0.632 0.523 0.316
5 Nd 0.684 0.368 0.891
6 Dy 0.159 0.430 0.098
7 Dy 0.332 0.061 0.902
8 Dy 0.420 0.162 0.397
9 Dy 0.570 0.668 0.729
10 Dy 0.765 0.023 0.603
11 Dy 0.838 0.235 0.258
12 Dy 0.939 0.841 0.271
13 Dy 0.977 0.580 0.742
14 Mg 0.250 0.750 0.500

Main lines, low angle first (2θ = 5–70°):
| 2θ/deg | I_rel |
| --- | --- |
| 22.40 | 11 |
| 28.31 | 36 |
| 29.18 | 100 |
| 31.71 | 18 |
| 33.95 | 77 |
| 34.38 | 29 |
| 34.64 | 33 |
| 47.95 | 14 |
| 54.90 | 19 |
| 63.56 | 15 |


No. 2
Diffraction record for BeBiIrO6. The XRD peak list is calculated, not measured: it uses a DFT-relaxed cell (GGA-PBE, Alexandria) and Cu Kα (λ = 1.5418 Å).
Peak positions follow from Bragg's law for the DFT cell and can differ from measured ones.

Cell and atoms:
a b c (Å): 4.990 4.990 9.665
angles (deg): 90.00 90.00 120.00
Sites, in units of the cell vectors:
1 Be 0.333 0.667 0.250
2 Be 0.667 0.333 0.750
3 Bi 0.000 0.000 0.000
4 Bi 0.000 0.000 0.500
5 Ir 0.333 0.667 0.750
6 Ir 0.667 0.333 0.250
7 O 0.012 0.376 0.143
8 O 0.012 0.636 0.357
9 O 0.364 0.376 0.357
10 O 0.364 0.988 0.143
11 O 0.376 0.012 0.643
12 O 0.376 0.364 0.857
13 O 0.624 0.636 0.143
14 O 0.624 0.988 0.357
15 O 0.636 0.012 0.857
16 O 0.636 0.624 0.643
17 O 0.988 0.364 0.643
18 O 0.988 0.624 0.857

Main lines, low angle first (2θ = 5–70°):
| 2θ/deg | I_rel |
| --- | --- |
| 22.54 | 41 |
| 27.69 | 100 |
| 34.73 | 15 |
| 35.99 | 34 |
| 42.88 | 14 |
| 46.01 | 24 |
| 52.74 | 35 |
| 59.76 | 24 |
| 61.43 | 10 |
| 64.71 | 13 |


No. 3
Diffraction record for Dy5InHg. The XRD peak list is calculated, not measured: it uses a DFT-relaxed cell (GGA-PBE, Alexandria) and Cu Kα (λ = 1.5418 Å).
Peak positions follow from Bragg's law for the DFT cell and can differ from measured ones.

Cell and atoms:
a b c (Å): 6.168 6.168 10.973
angles (deg): 94.90 94.90 92.43
Sites, in units of the cell vectors:
1 Dy 0.029 0.596 0.157
2 Dy 0.124 0.876 0.750
3 Dy 0.242 0.470 0.477
4 Dy 0.404 0.971 0.343
5 Dy 0.470 0.242 0.977
6 Dy 0.530 0.758 0.023
7 Dy 0.596 0.029 0.657
8 Dy 0.758 0.530 0.523
9 Dy 0.876 0.124 0.250
10 Dy 0.971 0.404 0.843
11 In 0.478 0.522 0.750
12 In 0.522 0.478 0.250
13 Hg 0.000 0.000 0.000
14 Hg 0.000 0.000 0.500

Main lines, low angle first (2θ = 5–70°):
| 2θ/deg | I_rel |
| --- | --- |
| 29.10 | 58 |
| 29.70 | 87 |
| 30.98 | 57 |
| 32.68 | 52 |
| 32.90 | 22 |
| 33.33 | 70 |
| 35.43 | 100 |
| 36.64 | 28 |
| 36.98 | 49 |
| 38.77 | 32 |